Mg2Zn2Pd5: calculated powder diffractogram (Cu Kα), based on a structure optimized by DFT (PBE).
Neutral-atom scattering factors, no anomalous dispersion.

Cell and atoms:
Unit cell a=9.309 b=9.309 c=9.309 alpha=57.25 beta=152.42 gamma=130.89
Atoms (fractional coordinates):
Mg: 0.001 0.093 0.094
Mg: 0.001 0.407 0.407
Mg: 0.999 0.593 0.593
Mg: 0.999 0.907 0.906
Zn: 0.333 0.333 0.000
Zn: 0.333 0.833 0.500
Zn: 0.668 0.419 0.749
Zn: 0.670 0.919 0.251
Pd: 0.000 0.252 0.249
Pd: 0.003 0.752 0.751
Pd: 0.334 0.170 0.835
Pd: 0.334 0.999 0.664
Pd: 0.335 0.499 0.165
Pd: 0.335 0.670 0.336
Pd: 0.666 0.084 0.416
Pd: 0.666 0.751 0.082
Pd: 0.668 0.251 0.584
Pd: 0.668 0.584 0.918

Main lines, by angle (2θ = 15–90°):
3.482 Å, I 10
2.229 Å, I 100
2.222 Å, I 99
1.577 Å, I 11
1.572 Å, I 22
1.287 Å, I 11
1.285 Å, I 11
1.283 Å, I 11
1.282 Å, I 11
1.162 Å, I 15